Starting from a DFT-relaxed cell (GGA+U, the Materials Project), the PXRD pattern of LiV2P5O16 was computed for Cu Ka.
Kinematic intensities with the Lorentz-polarization factor, no thermal factor.

Principal peaks in the range 2θ from 10° to 90°, by angle:
two_theta	d [Å]	I (rel.)	(hkl)
13.82	6.410	81	0 1 1
16.04	5.524	25	0 1 2
18.82	4.715	59	0 0 4
19.82	4.480	23	1 0 -2
22.33	3.981	100	1 1 1
23.79	3.741	29	1 1 -2
28.39	3.143	27	0 0 6
31.97	2.799	36	1 2 -1

Structure:
```
LiV2P5O16
1.0
5.0822 0.0000 0.0000
0.0000 6.8157 0.0000
-0.0731 0.0000 18.8609
Li V P O
2 4 10 32
direct
0.0000 0.1515 0.0000
0.0000 0.8485 0.5000
0.4713 0.3212 0.8777
0.4713 0.6788 0.3777
0.9969 0.3177 0.5637
0.9969 0.6823 0.0637
0.4796 0.0264 0.6012
0.4796 0.9736 0.1012
0.5022 0.3737 0.0504
0.5022 0.6263 0.5504
0.7206 0.2413 0.7204
0.7206 0.7587 0.2204
0.9574 0.3713 0.3931
0.9574 0.6287 0.8931
0.9825 0.0345 0.8405
0.9825 0.9655 0.3405
0.0557 0.2735 0.4614
0.0557 0.7265 0.9614
0.1452 0.4825 0.8600
0.1452 0.5175 0.3600
0.1965 0.0584 0.5787
0.1965 0.9416 0.0787
0.2712 0.0719 0.8532
0.2712 0.9281 0.3532
0.3375 0.4622 0.5819
0.3375 0.5378 0.0819
0.3711 0.2784 0.9849
0.3711 0.7216 0.4849
0.5108 0.2037 0.1118
0.5108 0.7963 0.6118
0.5132 0.0971 0.6818
0.5132 0.9029 0.1818
0.5713 0.3587 0.7735
0.5713 0.6413 0.2735
0.6758 0.4448 0.4010
0.6758 0.5552 0.9010
0.6931 0.1087 0.5545
0.6931 0.8913 0.0545
0.7946 0.4201 0.0398
0.7946 0.5799 0.5398
0.8006 0.1356 0.8933
0.8006 0.8644 0.3933
0.8786 0.3488 0.6654
0.8786 0.6512 0.1654
0.9133 0.0896 0.7598
0.9133 0.9104 0.2598
0.9314 0.1936 0.3353
0.9314 0.8064 0.8353
```